[1]
Diffraction record for Dy12Os5C15. The powder XRD pattern is simulated, not measured: it uses DFT lattice parameters and positions (GGA-PBE) and λ = 1.5418 Å (Cu Kα).

Peak list (10 most intense, 2θ = 15–90°, by angle)
31.0 deg, intensity 100.0, hkl 2 1 1
33.9 deg, intensity 20.9, hkl 3 0 1
34.9 deg, intensity 39.3, hkl 3 1 0
35.3 deg, intensity 36.2, hkl 0 0 2
38.0 deg, intensity 16.7, hkl 2 2 1
39.2 deg, intensity 9.5, hkl 3 1 1
50.5 deg, intensity 27.5, hkl 3 1 2
58.3 deg, intensity 15.0, hkl 5 1 1
60.7 deg, intensity 18.7, hkl 2 1 3
63.7 deg, intensity 11.0, hkl 3 3 2

Cell and atoms:
Unit cell a=10.7127 b=10.7127 c=5.0815 alpha=90.00 beta=90.00 gamma=120.00
Space group P-62m (No. 189)
Symmetry-distinct sites (fractional):
Dy  0.0000  0.4326  0.0000 [3 per cell]
Dy  0.0000  0.7938  0.0000 [3 per cell]
Dy  0.1834  0.7271  0.5000 [6 per cell]
Os  0.0000  0.1609  0.5000 [3 per cell]
Os  0.3333  0.6667  0.0000 [2 per cell]
C  0.0000  0.3361  0.5000 [3 per cell]
C  0.0000  0.4608  0.5000 [3 per cell]
C  0.0000  0.7911  0.5000 [3 per cell]
C  0.1842  0.7164  0.0000 [6 per cell]

[2]
Diffraction record for Dy2OsC2. The powder XRD pattern is simulated, not measured: it uses DFT lattice parameters and positions (GGA-PBE) and λ = 1.5418 Å (Cu Kα).

Peak list (10 most intense, 2θ = 15–90°, by angle)
32.4 deg, intensity 74.3, hkl 0 1 3
32.8 deg, intensity 22.4, hkl 2 1 0
33.3 deg, intensity 27.9, hkl 2 0 2
34.1 deg, intensity 100.0, hkl 2 1 1
35.0 deg, intensity 67.8, hkl 0 2 0
35.4 deg, intensity 55.0, hkl 1 1 3
39.3 deg, intensity 22.7, hkl 1 0 4
49.0 deg, intensity 18.4, hkl 2 2 2
53.6 deg, intensity 18.3, hkl 1 2 4
62.2 deg, intensity 18.3, hkl 2 3 1

Cell and atoms:
Unit cell a=6.441 b=5.133 c=9.816 alpha=90.00 beta=90.00 gamma=90.00
Space group Pnma (No. 62)
Symmetry-distinct sites (fractional):
Dy  0.023  0.250  0.222 [4 per cell]
Dy  0.187  0.250  0.552 [4 per cell]
Os  0.228  0.250  0.864 [4 per cell]
C  0.035  0.750  0.242 [4 per cell]
C  0.178  0.750  0.552 [4 per cell]

[3]
Diffraction record for DyPRu2C. The powder XRD pattern is simulated, not measured: it uses DFT lattice parameters and positions (GGA-PBE) and λ = 1.5418 Å (Cu Kα).

Peak list (10 most intense, 2θ = 15–90°, by angle)
30.0 deg, intensity 37.6, hkl 0 2 2
33.9 deg, intensity 78.5, hkl 1 3 0
34.9 deg, intensity 39.2, hkl 0 4 1
35.7 deg, intensity 100.0, hkl 1 1 2
36.3 deg, intensity 34.0, hkl 1 3 1
41.5 deg, intensity 15.8, hkl 0 4 2
41.7 deg, intensity 27.3, hkl 0 2 3
48.0 deg, intensity 28.1, hkl 2 0 0
62.7 deg, intensity 25.3, hkl 1 5 3
65.3 deg, intensity 22.0, hkl 1 7 1

Cell and atoms:
Unit cell a=3.788 b=11.059 c=7.058 alpha=90.00 beta=90.00 gamma=90.00
Space group Cmcm (No. 63)
Symmetry-distinct sites (fractional):
Dy  0.000  0.044  0.250 [4 per cell]
P  0.000  0.232  0.750 [4 per cell]
Ru  0.000  0.335  0.053 [8 per cell]
C  0.000  0.500  0.000 [4 per cell]

[4]
Diffraction record for Dy3PbC. The powder XRD pattern is simulated, not measured: it uses DFT lattice parameters and positions (GGA-PBE) and λ = 1.5418 Å (Cu Kα).

Peak list (10 most intense, 2θ = 15–90°, by angle)
25.6 deg, intensity 1.7, hkl 1 1 0
31.5 deg, intensity 100.0, hkl 1 1 1
36.6 deg, intensity 53.9, hkl 2 0 0
45.2 deg, intensity 0.8, hkl 2 1 1
52.7 deg, intensity 38.1, hkl 2 2 0
62.7 deg, intensity 43.2, hkl 3 1 1
65.8 deg, intensity 13.0, hkl 2 2 2
77.7 deg, intensity 6.1, hkl 4 0 0
86.3 deg, intensity 18.5, hkl 3 3 1
89.1 deg, intensity 18.2, hkl 4 2 0

Cell and atoms:
Unit cell a=4.916 b=4.916 c=4.916 alpha=90.00 beta=90.00 gamma=90.00
Space group Pm-3m (No. 221)
Symmetry-distinct sites (fractional):
Dy  0.000  0.000  0.500 [3 per cell]
Pb  0.500  0.500  0.500 [1 per cell]
C  0.000  0.000  0.000 [1 per cell]

What did the fourth record say?
Diffraction record for Dy3PbC. The powder XRD pattern is simulated, not measured: it uses DFT lattice parameters and positions (GGA-PBE) and λ = 1.5418 Å (Cu Kα).

Peak list (10 most intense, 2θ = 15–90°, by angle)
25.6 deg, intensity 1.7, hkl 1 1 0
31.5 deg, intensity 100.0, hkl 1 1 1
36.6 deg, intensity 53.9, hkl 2 0 0
45.2 deg, intensity 0.8, hkl 2 1 1
52.7 deg, intensity 38.1, hkl 2 2 0
62.7 deg, intensity 43.2, hkl 3 1 1
65.8 deg, intensity 13.0, hkl 2 2 2
77.7 deg, intensity 6.1, hkl 4 0 0
86.3 deg, intensity 18.5, hkl 3 3 1
89.1 deg, intensity 18.2, hkl 4 2 0

Cell and atoms:
Unit cell a=4.916 b=4.916 c=4.916 alpha=90.00 beta=90.00 gamma=90.00
Space group Pm-3m (No. 221)
Symmetry-distinct sites (fractional):
Dy  0.000  0.000  0.500 [3 per cell]
Pb  0.500  0.500  0.500 [1 per cell]
C  0.000  0.000  0.000 [1 per cell]